No. 1
Simulated powder diffraction line list
Compound: YMg6Co
Radiation: a wavelength of 1.5418 Å
Structure: a cell relaxed with GGA-PBE

The 10 most intense peaks (2θ = 15–90°), by intensity:
- 2θ 37.8, rel. 100.0
- 2θ 36.6, rel. 78.2
- 2θ 16.2, rel. 63.6
- 2θ 32.8, rel. 45.1
- 2θ 36.8, rel. 43.6
- 2θ 50.1, rel. 26.8
- 2θ 33.2, rel. 26.4
- 2θ 24.0, rel. 21.0
- 2θ 71.8, rel. 19.5
- 2θ 69.8, rel. 17.6

Cell and atoms:
```
8
Lattice="4.8796 0.0000 0.0000 0.0000 3.1129 5.6791 0.0000 -3.1129 5.6791" Properties=species:S:1:pos:R:3 pbc="T T T"
Y 0.0000 0.0000 0.0000
Mg 0.0000 -1.6019 3.0364
Mg 0.0000 1.6019 3.0364
Mg 0.0000 0.0000 6.0276
Mg 2.4398 0.0000 4.1953
Mg 2.4398 -1.5305 7.0764
Mg 2.4398 1.5305 7.0764
Co 2.4398 0.0000 9.7311
```

=====

No. 2
Simulated powder diffraction line list
Compound: YMg6Co
Radiation: a wavelength of 1.5418 Å
Structure: a cell relaxed with GGA-PBE

The 10 most intense peaks (2θ = 15–90°), by intensity:
- 2θ 38.6, rel. 100.0
- 2θ 35.0, rel. 70.2
- 2θ 36.2, rel. 45.5
- 2θ 33.9, rel. 41.4
- 2θ 17.9, rel. 29.6
- 2θ 50.5, rel. 25.7
- 2θ 23.3, rel. 25.7
- 2θ 55.6, rel. 22.4
- 2θ 32.5, rel. 19.9
- 2θ 66.8, rel. 18.4

Cell and atoms:
```
8
Lattice="4.9580 0.0000 0.0000 0.0000 2.9434 5.9947 0.0000 -2.9434 5.9947" Properties=species:S:1:pos:R:3 pbc="T T T"
Y 0.0000 0.0000 0.0000
Mg 0.0000 -1.4543 2.9936
Mg 0.0000 1.4543 2.9936
Mg 2.4790 -1.4272 4.7129
Mg 2.4790 0.0000 1.9050
Mg 2.4790 0.0000 7.3040
Mg 2.4790 1.4272 4.7129
Co 0.0000 0.0000 5.4568
```

=====

No. 3
Simulated powder diffraction line list
Compound: Y4MgCo
Radiation: a wavelength of 1.5418 Å
Structure: a cell relaxed with GGA-PBE

The 10 most intense peaks (2θ = 15–90°), by intensity:
- 2θ 34.2, rel. 100.0
- 2θ 32.2, rel. 57.1
- 2θ 57.4, rel. 50.3
- 2θ 28.6, rel. 40.9
- 2θ 37.3, rel. 30.2
- 2θ 86.6, rel. 14.7
- 2θ 88.4, rel. 13.2
- 2θ 58.7, rel. 13.1
- 2θ 55.2, rel. 12.6
- 2θ 68.5, rel. 11.5

Cell and atoms:
```
24
Lattice="0.0000 6.8140 6.8140 6.8140 0.0000 6.8140 6.8140 6.8140 0.0000" Properties=species:S:1:pos:R:3 pbc="T T T"
Y 8.9342 4.6939 4.6939
Y 3.4070 3.4070 0.8587
Y 3.4070 0.8587 3.4070
Y 5.9554 3.4070 3.4070
Y 6.8140 6.8140 2.5399
Y 6.8140 2.5399 6.8140
Y 11.0882 6.8140 6.8140
Y 0.8587 3.4070 3.4070
Y 3.4070 5.9554 3.4070
Y 3.4070 3.4070 5.9554
Y 4.6939 8.9342 4.6939
Y 4.6939 4.6939 8.9342
Y 8.9342 8.9342 8.9342
Y 2.5399 6.8140 6.8140
Y 6.8140 11.0882 6.8140
Y 6.8140 6.8140 11.0882
Mg 5.7408 5.7408 5.7408
Mg 7.8873 7.8873 5.7408
Mg 7.8873 5.7408 7.8873
Mg 5.7408 7.8873 7.8873
Co 11.7107 8.7314 8.7314
Co 8.7314 11.7107 8.7314
Co 8.7314 8.7314 11.7107
Co 11.7107 11.7107 11.7107
```

=====

No. 4
Simulated powder diffraction line list
Compound: Mg6ZnCo
Radiation: a wavelength of 1.5418 Å
Structure: a cell relaxed with GGA-PBE

The 10 most intense peaks (2θ = 15–90°), by intensity:
- 2θ 39.1, rel. 100.0
- 2θ 39.3, rel. 47.6
- 2θ 16.9, rel. 39.0
- 2θ 37.3, rel. 38.2
- 2θ 34.2, rel. 23.6
- 2θ 68.5, rel. 17.3
- 2θ 74.2, rel. 17.1
- 2θ 25.1, rel. 17.0
- 2θ 61.4, rel. 15.6
- 2θ 35.1, rel. 14.3

Cell and atoms:
```
8
Lattice="4.8174 0.0000 0.0000 0.0000 3.0374 5.2161 0.0000 -3.0374 5.2161" Properties=species:S:1:pos:R:3 pbc="T T T"
Mg 0.0000 0.0000 0.0000
Mg 0.0000 -1.4267 2.6950
Mg 0.0000 1.4267 2.6950
Mg 2.4087 -1.4777 6.0342
Mg 2.4087 1.4777 6.0342
Mg 2.4087 0.0000 8.6758
Zn 0.0000 0.0000 5.1212
Co 2.4087 0.0000 3.4634
```

=====

No. 5
Simulated powder diffraction line list
Compound: Mg6ZnCo
Radiation: a wavelength of 1.5418 Å
Structure: a cell relaxed with GGA-PBE

The 10 most intense peaks (2θ = 15–90°), by intensity:
- 2θ 39.3, rel. 100.0
- 2θ 39.6, rel. 48.6
- 2θ 37.8, rel. 36.6
- 2θ 34.3, rel. 29.7
- 2θ 17.1, rel. 25.0
- 2θ 18.6, rel. 17.6
- 2θ 51.9, rel. 17.3
- 2θ 69.2, rel. 17.0
- 2θ 74.8, rel. 17.0
- 2θ 61.9, rel. 15.6

Cell and atoms:
```
8
Lattice="4.7656 0.0000 0.0000 0.0000 3.0277 5.1751 0.0000 -3.0277 5.1751" Properties=species:S:1:pos:R:3 pbc="T T T"
Mg 0.0000 0.0000 0.0000
Mg 0.0000 -1.5687 7.6128
Mg 0.0000 0.0000 5.1164
Mg 0.0000 1.5687 7.6128
Mg 2.3828 -1.5224 4.2280
Mg 2.3828 1.5224 4.2280
Zn 2.3828 0.0000 6.8110
Co 2.3828 0.0000 1.6349
```

=====

No. 6
Simulated powder diffraction line list
Compound: Mg14ZrCo
Radiation: a wavelength of 1.5418 Å
Structure: a cell relaxed with GGA-PBE

The 10 most intense peaks (2θ = 15–90°), by intensity:
- 2θ 38.2, rel. 100.0
- 2θ 36.6, rel. 69.7
- 2θ 35.8, rel. 41.7
- 2θ 33.5, rel. 38.1
- 2θ 49.9, rel. 22.4
- 2θ 18.1, rel. 20.8
- 2θ 57.8, rel. 19.1
- 2θ 69.9, rel. 17.9
- 2θ 15.8, rel. 17.7
- 2θ 65.9, rel. 16.5

Cell and atoms:
```
16
Lattice="10.0248 0.0000 0.0000 0.0000 3.0352 5.6247 0.0000 -3.0352 5.6247" Properties=species:S:1:pos:R:3 pbc="T T T"
Mg 0.0000 0.0000 0.0000
Mg 0.0000 -1.4953 2.8031
Mg 0.0000 1.4953 2.8031
Mg 0.0000 0.0000 5.5770
Mg 2.4411 0.0000 7.4204
Mg 2.5997 -1.5311 4.6366
Mg 2.5997 1.5311 4.6366
Mg 2.8409 0.0000 1.6109
Mg 5.0124 -1.5910 2.9884
Mg 5.0124 1.5910 2.9884
Mg 7.1839 0.0000 1.6109
Mg 7.4251 -1.5311 4.6366
Mg 7.4251 1.5311 4.6366
Mg 7.5836 0.0000 7.4204
Zr 5.0124 0.0000 5.7801
Co 5.0124 0.0000 11.1272
```

=====

No. 7
Simulated powder diffraction line list
Compound: Mg6ZrCo
Radiation: a wavelength of 1.5418 Å
Structure: a cell relaxed with GGA-PBE

The 10 most intense peaks (2θ = 15–90°), by intensity:
- 2θ 37.4, rel. 100.0
- 2θ 38.4, rel. 73.3
- 2θ 16.5, rel. 61.5
- 2θ 33.4, rel. 41.7
- 2θ 16.0, rel. 25.5
- 2θ 73.3, rel. 24.7
- 2θ 51.0, rel. 24.1
- 2θ 47.5, rel. 15.4
- 2θ 33.9, rel. 14.6
- 2θ 68.1, rel. 12.5

Cell and atoms:
```
8
Lattice="4.8165 0.0000 0.0000 0.0000 3.0615 5.5461 0.0000 -3.0615 5.5461" Properties=species:S:1:pos:R:3 pbc="T T T"
Mg 0.0000 0.0000 0.0000
Mg 0.0000 -1.4775 2.6789
Mg 0.0000 1.4775 2.6789
Mg 2.4082 -1.4964 6.5064
Mg 2.4082 1.4964 6.5064
Mg 2.4082 0.0000 9.3042
Zr 0.0000 0.0000 5.2721
Co 2.4082 0.0000 4.0127
```

=====

No. 8
Simulated powder diffraction line list
Compound: Mg14ZrCo
Radiation: a wavelength of 1.5418 Å
Structure: a cell relaxed with GGA-PBE

The 10 most intense peaks (2θ = 15–90°), by intensity:
- 2θ 37.5, rel. 100.0
- 2θ 32.8, rel. 27.2
- 2θ 16.2, rel. 26.9
- 2θ 35.8, rel. 24.5
- 2θ 70.6, rel. 17.8
- 2θ 65.5, rel. 17.1
- 2θ 58.6, rel. 16.8
- 2θ 49.4, rel. 16.3
- 2θ 24.1, rel. 14.6
- 2θ 71.7, rel. 13.2

Cell and atoms:
```
16
Lattice="6.3027 0.0000 0.0000 -3.1513 5.4583 0.0000 0.0000 0.0000 10.0279" Properties=species:S:1:pos:R:3 pbc="T T T"
Mg 0.0000 0.0000 2.4123
Mg 0.0000 0.0000 7.6156
Mg -1.4930 2.7769 2.6425
Mg -1.4930 2.7769 7.3854
Mg 1.5532 0.8967 5.0139
Mg 1.6249 0.9381 0.0000
Mg 1.4930 2.7769 2.6425
Mg 1.4930 2.7769 7.3854
Mg 0.0000 5.3628 2.6425
Mg 0.0000 5.3628 7.3854
Mg 4.6778 0.9381 0.0000
Mg 3.1513 3.5820 0.0000
Mg 4.7495 0.8967 5.0139
Mg 3.1514 3.6648 5.0139
Zr 0.0000 3.6389 0.0000
Co 0.0000 3.6389 5.0139
```